Structure and calculated X-ray powder pattern of Na2MoH2O3F4 (the PBE+U geometry in Alexandria; Cu Kα X-rays).

The 12 most intense peaks (10 to 90 degrees two-theta), in order of rising 2θ:
2θ = 15.80°, rel. 41
2θ = 17.92°, rel. 56
2θ = 18.42°, rel. 90
2θ = 20.29°, rel. 60
2θ = 22.61°, rel. 100
2θ = 25.99°, rel. 65
2θ = 30.57°, rel. 21
2θ = 31.75°, rel. 45
2θ = 36.30°, rel. 28
2θ = 45.21°, rel. 29
2θ = 47.12°, rel. 26
2θ = 57.48°, rel. 22

Atomic structure:
```
data_Na2MoH2O3F4
_chemical_formula_sum 'Na8 Mo4 H8 O12 F16'
_symmetry_space_group_name_H-M 'P 21 21 21'
_symmetry_Int_Tables_number 19
_cell_length_a 5.5134
_cell_length_b 5.8482
_cell_length_c 19.7984
_cell_angle_alpha 90.00
_cell_angle_beta 90.00
_cell_angle_gamma 90.00
loop_
_symmetry_equiv_pos_as_xyz
'x,y,z'
'-x+1/2,-y,z+1/2'
'x+1/2,-y+1/2,-z'
'-x,y+1/2,-z+1/2'
loop_
_atom_site_label
_atom_site_fract_x
_atom_site_fract_y
_atom_site_fract_z
Na1 0.2359 0.2246 0.3620
Na2 0.2393 0.6683 0.2507
Mo1 0.2305 0.7733 0.6383
H1 0.0254 0.2160 0.4956
H2 0.2126 0.0153 0.4972
O1 0.0418 0.4226 0.8671
O2 0.1537 0.2062 0.0573
O3 0.1862 0.1696 0.4788
F1 0.0236 0.9128 0.3229
F2 0.0800 0.9657 0.1758
F3 0.0968 0.4643 0.6313
F4 0.1438 0.7204 0.7437
```

Structure and calculated X-ray powder pattern of TlMoH2F8 (the PBE+U geometry in Alexandria; Cu Kα X-rays).

The 12 most intense peaks (10 to 90 degrees two-theta), in order of rising 2θ:
2θ = 18.84°, rel. 98
2θ = 19.00°, rel. 100
2θ = 21.55°, rel. 92
2θ = 22.25°, rel. 72
2θ = 26.64°, rel. 34
2θ = 27.97°, rel. 50
2θ = 30.81°, rel. 28
2θ = 31.38°, rel. 32
2θ = 31.79°, rel. 35
2θ = 35.57°, rel. 33
2θ = 41.82°, rel. 32
2θ = 51.41°, rel. 28

Atomic structure:
```
data_TlMoH2F8
_chemical_formula_sum 'Tl1 Mo1 H2 F8'
_symmetry_space_group_name_H-M 'P -1'
_symmetry_Int_Tables_number 2
_cell_length_a 4.9958
_cell_length_b 5.0913
_cell_length_c 8.1192
_cell_angle_alpha 98.63
_cell_angle_beta 92.14
_cell_angle_gamma 110.08
loop_
_symmetry_equiv_pos_as_xyz
'x,y,z'
'-x,-y,-z'
loop_
_atom_site_label
_atom_site_fract_x
_atom_site_fract_y
_atom_site_fract_z
Tl1 0.0000 0.0000 0.0000
Mo1 0.0000 0.0000 0.5000
H1 0.4559 0.6697 0.1956
F1 0.2181 0.7653 0.4898
F2 0.2214 0.2010 0.3367
F3 0.2619 0.2553 0.6923
F4 0.3139 0.6417 0.1030
```